Entry 1:
The following is a theoretical powder diffractogram of ThNb2Si4. It was derived from a GGA-PBE-relaxed structure, using CuKα.

Largest 10 diffraction maxima, by intensity, 2θ = 15–90°:
2θ (°)  I (rel.)  (hkl)
35.48  100.0  1 1 2
34.66  59.2  0 1 5
28.25  56.4  1 0 3
24.32  31.9  0 1 1
42.86  31.6  1 0 7
53.67  26.9  1 1 8
29.90  25.1  0 0 6
61.37  21.3  2 1 5
19.81  19.0  0 0 4
39.65  18.8  1 1 4

Crystal structure
Cell: 3.721 3.739 17.929 Å, 90.00 90.00 90.00°
Fractional positions:
Th  0.000  0.000  0.000
Th  0.500  0.500  0.500
Nb  0.000  0.500  0.309
Nb  0.000  0.500  0.691
Nb  0.500  0.000  0.191
Nb  0.500  0.000  0.809
Si  0.000  0.000  0.420
Si  0.000  0.000  0.580
Si  0.000  0.500  0.163
Si  0.000  0.500  0.837
Si  0.500  0.000  0.337
Si  0.500  0.000  0.663
Si  0.500  0.500  0.080
Si  0.500  0.500  0.920

=====

Entry 2:
The following is a theoretical powder diffractogram of Ti4Nb2Si. It was derived from a GGA-PBE-relaxed structure, using CuKα.

Largest 10 diffraction maxima, by intensity, 2θ = 15–90°:
2θ (°)  I (rel.)  (hkl)
38.95  100.0  2 0 0
40.20  94.2  1 0 5
27.27  77.5  1 1 0
39.35  68.4  1 1 4
57.21  63.6  2 1 5
20.41  41.1  1 0 1
56.26  32.1  2 2 0
30.69  27.2  1 1 2
70.81  22.0  3 1 4
84.44  20.1  3 2 5

Crystal structure
Cell: 4.625 4.625 12.827 Å, 90.00 90.00 90.00°
Fractional positions:
Ti  0.000  0.000  0.190
Ti  0.000  0.000  0.810
Ti  0.000  0.500  0.000
Ti  0.000  0.500  0.500
Ti  0.500  0.000  0.000
Ti  0.500  0.000  0.500
Ti  0.500  0.500  0.310
Ti  0.500  0.500  0.690
Nb  0.000  0.000  0.387
Nb  0.000  0.000  0.613
Nb  0.500  0.500  0.113
Nb  0.500  0.500  0.887
Si  0.000  0.000  0.000
Si  0.500  0.500  0.500